For Tb2PaIr3, a DFT-relaxed cell (PBE, Alexandria) gives the theoretical powder XRD pattern in this record (Cu Kα X-rays).

Structure:
Cell lengths 13.7637, 5.6046, 6.9458 Å; angles 90.00, 104.10, 90.00 degrees
Space group C2/c (No. 15)
Symmetry-distinct sites (fractional):
Tb 0.1785 0.1030 0.1376 [8 per cell]
Pa 0.0000 0.3843 0.7500 [4 per cell]
Ir 0.0000 0.0920 0.2500 [4 per cell]
Ir 0.1499 0.3963 0.5086 [8 per cell]

Most intense lines, 15° ≤ 2θ ≤ 90°, in order of rising 2θ:
hkl  2θ (°)  intensity
3 1 1  31.1  16
2 0 2  32.6  58
4 0 -2  32.9  100
1 1 2  33.1  27
0 2 1  34.7  68
2 2 1  38.5  68
6 0 0  40.5  53
3 1 2  40.6  17
4 2 -1  42.1  51
2 2 -3  51.3  24
6 2 -1  51.6  30
4 4 -2  76.4  15